Record 1
Diffraction record for ZnCuC4O12. The PXRD pattern is calculated, not measured: it uses a structure optimized by DFT (GGA-PBE) and copper Kα.

Top 10 peaks for 2θ = 10–90°, sorted by position:
Position (°2θ), d (Å), I (rel.)
17.3, 5.131, 100
17.5, 5.057, 45
19.2, 4.614, 60
21.3, 4.167, 16
24.4, 3.654, 17
29.2, 3.053, 23
32.4, 2.766, 14
32.8, 2.730, 15
35.8, 2.511, 15
45.2, 2.008, 14

a = 9.2413 Å, b = 8.1435 Å, c = 9.2282 Å
α = 90.00°, β = 91.36°, γ = 90.00°
Element x y z (fractional)
1 Zn 0.0000 0.0000 0.0000
2 Zn 0.0000 0.5000 0.5000
3 Cu 0.5000 0.0000 0.5000
4 Cu 0.5000 0.5000 0.0000
5 C 0.1753 0.1595 0.5462
6 C 0.1753 0.3405 0.0462
7 C 0.3935 0.6865 0.6918
8 C 0.3935 0.8135 0.1918
9 C 0.6065 0.1865 0.8082
10 C 0.6065 0.3135 0.3082
11 C 0.8247 0.6595 0.9538
12 C 0.8247 0.8405 0.4538
13 O 0.0576 0.1711 0.5904
14 O 0.0576 0.3289 0.0904
15 O 0.1570 0.5751 0.6314
16 O 0.1570 0.9249 0.1314
17 O 0.2041 0.0054 0.9954
18 O 0.2041 0.4946 0.4954
19 O 0.2931 0.1387 0.5032
20 O 0.2931 0.3613 0.0032
21 O 0.3963 0.7105 0.1015
22 O 0.3963 0.7895 0.6015
23 O 0.4158 0.5915 0.7863
24 O 0.4158 0.9085 0.2863
25 O 0.5842 0.0915 0.7137
26 O 0.5842 0.4085 0.2137
27 O 0.6037 0.2105 0.3985
28 O 0.6037 0.2895 0.8985
29 O 0.7069 0.6387 0.9968
30 O 0.7069 0.8613 0.4968
31 O 0.7959 0.5054 0.5046
32 O 0.7959 0.9946 0.0046
33 O 0.8430 0.0751 0.8686
34 O 0.8430 0.4249 0.3686
35 O 0.9424 0.6711 0.9096
36 O 0.9424 0.8289 0.4096


Record 2
Diffraction record for ZnCuCO5. The PXRD pattern is calculated, not measured: it uses a structure optimized by DFT (GGA-PBE) and copper Kα.

Top 10 peaks for 2θ = 10–90°, sorted by position:
Position (°2θ), d (Å), I (rel.)
14.2, 6.226, 64
17.4, 5.088, 74
24.7, 3.601, 75
29.4, 3.038, 22
29.6, 3.013, 30
34.6, 2.594, 100
35.3, 2.544, 56
35.9, 2.502, 33
37.2, 2.418, 23
53.7, 1.707, 23

a = 3.2409 Å, b = 8.8276 Å, c = 12.5899 Å
α = 90.00°, β = 98.47°, γ = 90.00°
Element x y z (fractional)
1 Zn 0.1003 0.2296 0.3952
2 Zn 0.1003 0.2704 0.8952
3 Zn 0.8997 0.7296 0.1048
4 Zn 0.8997 0.7704 0.6048
5 Cu 0.4795 0.0008 0.2161
6 Cu 0.4795 0.4992 0.7161
7 Cu 0.5205 0.5008 0.2839
8 Cu 0.5205 0.9992 0.7839
9 C 0.1202 0.2204 0.6358
10 C 0.1202 0.2796 0.1358
11 C 0.8798 0.7204 0.8642
12 C 0.8798 0.7796 0.3642
13 O 0.0636 0.1324 0.1381
14 O 0.0636 0.3676 0.6381
15 O 0.1132 0.1483 0.7281
16 O 0.1132 0.3517 0.2281
17 O 0.1592 0.1505 0.5512
18 O 0.1592 0.3495 0.0512
19 O 0.3929 0.6269 0.5980
20 O 0.3929 0.8731 0.0980
21 O 0.4349 0.6093 0.1596
22 O 0.4349 0.8907 0.6596
23 O 0.5651 0.1093 0.3404
24 O 0.5651 0.3907 0.8404
25 O 0.6071 0.1269 0.9020
26 O 0.6071 0.3731 0.4020
27 O 0.8408 0.6505 0.9488
28 O 0.8408 0.8495 0.4488
29 O 0.8868 0.6483 0.7719
30 O 0.8868 0.8517 0.2719
31 O 0.9364 0.6324 0.3619
32 O 0.9364 0.8676 0.8619


Record 3
Diffraction record for CuCS. The PXRD pattern is calculated, not measured: it uses a structure optimized by DFT (GGA-PBE) and copper Kα.

Top 10 peaks for 2θ = 10–90°, sorted by position:
Position (°2θ), d (Å), I (rel.)
10.6, 8.377, 100
15.0, 5.923, 23
33.8, 2.649, 4
34.5, 2.598, 9
39.4, 2.289, 7
40.9, 2.208, 6
42.3, 2.135, 21
46.5, 1.953, 7
48.6, 1.873, 5
51.6, 1.770, 7

a = 8.3767 Å, b = 8.3767 Å, c = 3.6066 Å
α = 90.00°, β = 90.00°, γ = 90.00°
Element x y z (fractional)
1 Cu 0.0594 0.1404 0.0000
2 Cu 0.1404 0.9406 0.5000
3 Cu 0.8596 0.0594 0.5000
4 Cu 0.9406 0.8596 0.0000
5 C 0.2069 0.5962 0.0000
6 C 0.4038 0.2069 0.5000
7 C 0.5962 0.7931 0.5000
8 C 0.7931 0.4038 0.0000
9 S 0.2165 0.2429 0.5000
10 S 0.2429 0.7835 0.0000
11 S 0.7571 0.2165 0.0000
12 S 0.7835 0.7571 0.5000


Record 4
Diffraction record for Dy2C. The PXRD pattern is calculated, not measured: it uses a structure optimized by DFT (GGA-PBE) and copper Kα.

Top 10 peaks for 2θ = 10–90°, sorted by position:
Position (°2θ), d (Å), I (rel.)
29.0, 3.077, 32
30.3, 2.949, 100
34.8, 2.580, 76
49.2, 1.853, 23
50.8, 1.797, 28
59.6, 1.551, 26
60.3, 1.534, 15
63.1, 1.474, 13
82.7, 1.167, 12
85.1, 1.140, 12

a = 6.4934 Å, b = 6.4934 Å, c = 6.4934 Å
α = 32.12°, β = 32.12°, γ = 32.12°
Element x y z (fractional)
1 Dy 0.2397 0.2397 0.2397
2 Dy 0.7603 0.7603 0.7603
3 C 0.5000 0.5000 0.5000


Record 5
Diffraction record for Dy2C3. The PXRD pattern is calculated, not measured: it uses a structure optimized by DFT (GGA-PBE) and copper Kα.

Top 10 peaks for 2θ = 10–90°, sorted by position:
Position (°2θ), d (Å), I (rel.)
26.5, 3.363, 48
30.7, 2.912, 100
34.4, 2.605, 98
41.0, 2.202, 50
52.1, 1.756, 28
57.0, 1.615, 65
61.7, 1.504, 29
74.7, 1.271, 19
86.9, 1.121, 21
88.9, 1.101, 17

a = 7.1338 Å, b = 7.1338 Å, c = 7.1338 Å
α = 109.47°, β = 109.47°, γ = 109.47°
Element x y z (fractional)
1 Dy 0.0000 0.3988 0.5000
2 Dy 0.0000 0.8988 0.5000
3 Dy 0.1012 0.1012 0.1012
4 Dy 0.3988 0.5000 0.0000
5 Dy 0.5000 0.0000 0.3988
6 Dy 0.5000 0.0000 0.8988
7 Dy 0.6012 0.6012 0.6012
8 Dy 0.8988 0.5000 0.0000
9 C 0.0437 0.7500 0.7937
10 C 0.2063 0.7500 0.9563
11 C 0.2500 0.5437 0.2937
12 C 0.2500 0.7063 0.4563
13 C 0.2937 0.2500 0.5437
14 C 0.4563 0.2500 0.7063
15 C 0.5437 0.2937 0.2500
16 C 0.7063 0.4563 0.2500
17 C 0.7500 0.7937 0.0437
18 C 0.7500 0.9563 0.2063
19 C 0.7937 0.0437 0.7500
20 C 0.9563 0.2063 0.7500


Record 6
Diffraction record for Dy15Fe8C26. The PXRD pattern is calculated, not measured: it uses a structure optimized by DFT (GGA-PBE) and copper Kα.

Top 10 peaks for 2θ = 10–90°, sorted by position:
Position (°2θ), d (Å), I (rel.)
28.7, 3.108, 100
30.0, 2.979, 31
31.3, 2.861, 32
34.8, 2.579, 17
36.0, 2.498, 58
38.0, 2.368, 28
39.1, 2.306, 19
42.1, 2.148, 30
52.5, 1.743, 28
58.7, 1.573, 24

a = 11.9180 Å, b = 11.9180 Å, c = 5.1428 Å
α = 90.00°, β = 90.00°, γ = 120.00°
Element x y z (fractional)
1 Dy 0.0000 0.8330 0.0000
2 Dy 0.1158 0.4037 0.2464
3 Dy 0.1449 0.6310 0.7427
4 Dy 0.1670 0.1670 0.0000
5 Dy 0.2880 0.8842 0.2464
6 Dy 0.3690 0.5139 0.7427
7 Dy 0.4037 0.1158 0.7536
8 Dy 0.4861 0.8551 0.7427
9 Dy 0.5139 0.3690 0.2573
10 Dy 0.5963 0.7120 0.2464
11 Dy 0.6310 0.1449 0.2573
12 Dy 0.7120 0.5963 0.7536
13 Dy 0.8330 0.0000 0.0000
14 Dy 0.8551 0.4861 0.2573
15 Dy 0.8842 0.2880 0.7536
16 Fe 0.0000 0.1292 0.5000
17 Fe 0.0000 0.7417 0.5000
18 Fe 0.1292 0.0000 0.5000
19 Fe 0.2583 0.2583 0.5000
20 Fe 0.3333 0.6667 0.2326
21 Fe 0.6667 0.3333 0.7674
22 Fe 0.7417 0.0000 0.5000
23 Fe 0.8708 0.8708 0.5000
24 C 0.0000 0.0000 0.2775
25 C 0.0000 0.0000 0.7225
26 C 0.0800 0.6809 0.2711
27 C 0.1188 0.2989 0.6756
28 C 0.1248 0.4157 0.7346
29 C 0.1683 0.6412 0.2412
30 C 0.1801 0.8812 0.6756
31 C 0.2909 0.8752 0.7346
32 C 0.2989 0.1188 0.3244
33 C 0.3191 0.3991 0.2711
34 C 0.3588 0.5271 0.2412
35 C 0.3991 0.3191 0.7289
36 C 0.4157 0.1248 0.2654
37 C 0.4729 0.8317 0.2412
38 C 0.5271 0.3588 0.7588
39 C 0.5843 0.7091 0.7346
40 C 0.6009 0.9200 0.2711
41 C 0.6412 0.1683 0.7588
42 C 0.6809 0.0800 0.7289
43 C 0.7011 0.8199 0.6756
44 C 0.7091 0.5843 0.2654
45 C 0.8199 0.7011 0.3244
46 C 0.8317 0.4729 0.7588
47 C 0.8752 0.2909 0.2654
48 C 0.8812 0.1801 0.3244
49 C 0.9200 0.6009 0.7289


Record 7
Diffraction record for Dy2Fe17C2. The PXRD pattern is calculated, not measured: it uses a structure optimized by DFT (GGA-PBE) and copper Kα.

Top 10 peaks for 2θ = 10–90°, sorted by position:
Position (°2θ), d (Å), I (rel.)
30.0, 2.980, 64
36.2, 2.482, 42
37.8, 2.382, 47
41.9, 2.156, 72
42.1, 2.147, 35
42.3, 2.134, 48
42.5, 2.127, 100
43.4, 2.086, 21
43.9, 2.064, 69
61.9, 1.499, 24

a = 6.4556 Å, b = 6.4556 Å, c = 6.4762 Å
α = 96.33°, β = 96.33°, γ = 83.38°
Element x y z (fractional)
1 Dy 0.1532 0.1532 0.3368
2 Dy 0.8468 0.8468 0.6632
3 Fe 0.0000 0.5000 0.0000
4 Fe 0.1550 0.1550 0.8546
5 Fe 0.1564 0.6474 0.3420
6 Fe 0.2143 0.7857 0.0000
7 Fe 0.2149 0.4985 0.7146
8 Fe 0.3526 0.8436 0.6580
9 Fe 0.4035 0.4035 0.0964
10 Fe 0.4985 0.2149 0.7146
11 Fe 0.5000 0.0000 0.0000
12 Fe 0.5000 0.5000 0.5000
13 Fe 0.5015 0.7851 0.2854
14 Fe 0.5965 0.5965 0.9036
15 Fe 0.6474 0.1564 0.3420
16 Fe 0.7851 0.5015 0.2854
17 Fe 0.7857 0.2143 0.0000
18 Fe 0.8436 0.3526 0.6580
19 Fe 0.8450 0.8450 0.1454
20 C 0.0000 0.5000 0.5000
21 C 0.5000 0.0000 0.5000


Record 8
Diffraction record for Dy2Fe17C. The PXRD pattern is calculated, not measured: it uses a structure optimized by DFT (GGA-PBE) and copper Kα.

Top 10 peaks for 2θ = 10–90°, sorted by position:
Position (°2θ), d (Å), I (rel.)
30.1, 2.966, 65
36.3, 2.475, 42
36.5, 2.462, 23
37.9, 2.372, 46
42.1, 2.147, 36
42.3, 2.136, 68
42.6, 2.121, 100
42.8, 2.113, 53
44.0, 2.057, 63
80.0, 1.200, 21

a = 6.4395 Å, b = 6.4395 Å, c = 6.4121 Å
α = 96.66°, β = 96.66°, γ = 83.63°
Element x y z (fractional)
1 Dy 0.1599 0.1599 0.3477
2 Dy 0.8401 0.8401 0.6523
3 Fe 0.0000 0.5000 0.0000
4 Fe 0.1568 0.1568 0.8488
5 Fe 0.1567 0.6507 0.3444
6 Fe 0.2103 0.5003 0.7095
7 Fe 0.2146 0.7854 0.0000
8 Fe 0.3493 0.8433 0.6556
9 Fe 0.4030 0.4030 0.0973
10 Fe 0.5000 0.0000 0.0000
11 Fe 0.5003 0.2103 0.7095
12 Fe 0.5000 0.5000 0.5000
13 Fe 0.4997 0.7897 0.2905
14 Fe 0.5970 0.5970 0.9027
15 Fe 0.6507 0.1567 0.3444
16 Fe 0.7854 0.2146 0.0000
17 Fe 0.7897 0.4997 0.2905
18 Fe 0.8433 0.3493 0.6556
19 Fe 0.8432 0.8432 0.1512
20 C 0.0000 0.0000 0.0000